No. 1
Mg6CdFeO8: theoretical powder X-ray diffraction pattern (Cu Kα, 1.54184 Å), based on a structure optimized by DFT (PBE+U).
Intensities are scaled so that the largest is 100.

```
Mg6CdFeO8
1.0
4.3631 0.0000 0.0000
0.0000 4.3631 0.0000
0.0000 0.0000 8.7492
Mg Cd Fe O
6 1 1 8
direct
0.0000 0.0000 0.0000 Mg
0.0000 0.5000 0.2425 Mg
0.0000 0.5000 0.7575 Mg
0.5000 0.0000 0.2425 Mg
0.5000 0.0000 0.7575 Mg
0.5000 0.5000 0.0000 Mg
0.0000 0.0000 0.5000 Cd
0.5000 0.5000 0.5000 Fe
0.0000 0.0000 0.2335 O
0.0000 0.0000 0.7665 O
0.0000 0.5000 0.0000 O
0.0000 0.5000 0.5000 O
0.5000 0.0000 0.0000 O
0.5000 0.0000 0.5000 O
0.5000 0.5000 0.2438 O
0.5000 0.5000 0.7562 O
```

Peak list (10 most intense, 10 to 90 degrees two-theta, low angle first)
10.11 deg, intensity 88
20.32 deg, intensity 33
28.93 deg, intensity 28
30.71 deg, intensity 46
35.61 deg, intensity 57
41.27 deg, intensity 49
41.39 deg, intensity 100
42.69 deg, intensity 24
59.91 deg, intensity 87
75.40 deg, intensity 27


No. 2
Na2Cd2FeP3O12: theoretical powder X-ray diffraction pattern (Cu Kα, 1.54184 Å), based on a structure optimized by DFT (PBE+U).
Intensities are scaled so that the largest is 100.

```
Na2Cd2FeP3O12
1.0
6.2271 -6.4652 0.0000
6.2271 6.4652 0.0000
-2.8294 0.0000 6.0736
Na Cd Fe P O
4 4 2 6 24
direct
0.0000 0.0000 0.0000 Na
0.4786 0.5193 0.7465 Na
0.4807 0.5214 0.2535 Na
0.9521 0.0479 0.5000 Na
0.0572 0.3947 0.8986 Cd
0.2517 0.7483 0.5000 Cd
0.6053 0.9428 0.1014 Cd
0.7062 0.2938 0.0000 Cd
0.3650 0.0877 0.3883 Fe
0.9123 0.6350 0.6117 Fe
0.1133 0.3618 0.3828 P
0.2571 0.7429 0.0000 P
0.3219 0.1447 0.8747 P
0.6382 0.8867 0.6172 P
0.6927 0.3073 0.5000 P
0.8553 0.6781 0.1253 P
0.0344 0.4293 0.5643 O
0.1258 0.7576 0.7922 O
0.1452 0.1614 0.8351 O
0.1703 0.1988 0.3904 O
0.2424 0.8742 0.2078 O
0.2475 0.5902 0.0576 O
0.2559 0.4798 0.4189 O
0.3330 0.0258 0.6533 O
0.3754 0.0751 0.0676 O
0.4098 0.7525 0.9424 O
0.4296 0.3002 0.9289 O
0.5179 0.2815 0.4953 O
0.5202 0.7441 0.5811 O
0.5707 0.9656 0.4357 O
0.6744 0.0159 0.8443 O
0.6998 0.5704 0.0711 O
0.7185 0.4821 0.5047 O
0.7256 0.2010 0.2939 O
0.7990 0.2744 0.7061 O
0.8012 0.8297 0.6096 O
0.8386 0.8548 0.1649 O
0.9249 0.6246 0.9324 O
0.9742 0.6670 0.3467 O
0.9841 0.3256 0.1557 O
```

Peak list (10 most intense, 10 to 90 degrees two-theta, low angle first)
13.70 deg, intensity 85
20.50 deg, intensity 39
27.88 deg, intensity 34
29.78 deg, intensity 24
30.25 deg, intensity 24
31.70 deg, intensity 50
31.90 deg, intensity 100
32.96 deg, intensity 27
34.20 deg, intensity 40
41.35 deg, intensity 34


No. 3
CdFe2Sb2P6O24: theoretical powder X-ray diffraction pattern (Cu Kα, 1.54184 Å), based on a structure optimized by DFT (PBE+U).
Intensities are scaled so that the largest is 100.

```
CdFe2Sb2P6O24
1.0
4.2621 2.4607 7.4073
-4.2621 2.4607 7.4073
0.0000 -4.9214 7.4073
Cd Fe Sb P O
1 2 2 6 24
direct
0.0000 0.0000 0.0000 Cd
0.1471 0.1471 0.1471 Fe
0.8529 0.8529 0.8529 Fe
0.3540 0.3540 0.3540 Sb
0.6460 0.6460 0.6460 Sb
0.0371 0.7533 0.4588 P
0.2467 0.5412 0.9629 P
0.4588 0.0371 0.7533 P
0.5412 0.9629 0.2467 P
0.7533 0.4588 0.0371 P
0.9629 0.2467 0.5412 P
0.0086 0.7986 0.6153 O
0.0971 0.8966 0.2560 O
0.1034 0.7440 0.9029 O
0.1541 0.2371 0.5227 O
0.1913 0.5477 0.4777 O
0.2014 0.3847 0.9914 O
0.2371 0.5227 0.1541 O
0.2560 0.0971 0.8966 O
0.3847 0.9914 0.2014 O
0.4523 0.5223 0.8087 O
0.4773 0.8459 0.7629 O
0.4777 0.1913 0.5477 O
0.5223 0.8087 0.4523 O
0.5227 0.1541 0.2371 O
0.5477 0.4777 0.1913 O
0.6153 0.0086 0.7986 O
0.7440 0.9029 0.1034 O
0.7629 0.4773 0.8459 O
0.7986 0.6153 0.0086 O
0.8087 0.4523 0.5223 O
0.8459 0.7629 0.4773 O
0.8966 0.2560 0.0971 O
0.9029 0.1034 0.7440 O
0.9914 0.2014 0.3847 O
```

Peak list (10 most intense, 10 to 90 degrees two-theta, low angle first)
11.95 deg, intensity 43
20.00 deg, intensity 29
20.84 deg, intensity 94
24.09 deg, intensity 100
29.04 deg, intensity 25
32.01 deg, intensity 83
36.52 deg, intensity 33
44.21 deg, intensity 25
49.34 deg, intensity 27
57.17 deg, intensity 25